No. 1
Theoretical X-ray powder pattern
Compound: Ti7In2Sn2
Radiation: Cu Ka
Structure: a DFT-relaxed cell (PBE, Alexandria)
No peak broadening, texture or thermal motion is included.

Peak list (10 most intense, 2θ from 10° to 90°, by angle)
| d [Å] | I/Imax |
| --- | --- |
| 3.955 | 873 |
| 3.222 | 1000 |
| 2.874 | 194 |
| 2.476 | 496 |
| 2.392 | 214 |
| 2.222 | 500 |
| 2.200 | 897 |
| 2.004 | 285 |
| 1.963 | 274 |
| 1.891 | 395 |

Cell and atoms:
```
data_Ti7In2Sn2
_cell_length_a 7.3935
_cell_length_b 9.9057
_cell_length_c 6.5724
_cell_angle_alpha 90.00
_cell_angle_beta 90.00
_cell_angle_gamma 90.00
_symmetry_space_group_name_H-M 'C m m m'
_symmetry_Int_Tables_number 65
_symmetry_space_group_name_Hall '-C 2 2'
loop_
_atom_site_label
_atom_site_type_symbol
_atom_site_fract_x
_atom_site_fract_y
_atom_site_fract_z
Ti1 Ti 0.0000 0.0000 0.0000
Ti2 Ti 0.0000 0.5000 0.2790
Ti3 Ti 0.2500 0.2500 0.3020
In1 In 0.1799 0.0000 0.5000
Sn1 Sn 0.0000 0.2912 0.0000
```


No. 2
Theoretical X-ray powder pattern
Compound: BaGa2Pt2
Radiation: Cu Ka
Structure: a DFT-relaxed cell (PBE, Alexandria)
No peak broadening, texture or thermal motion is included.

Peak list (10 most intense, 2θ from 10° to 90°, by angle)
| d [Å] | I/Imax |
| --- | --- |
| 5.552 | 449 |
| 2.851 | 318 |
| 2.747 | 1000 |
| 2.235 | 517 |
| 2.086 | 293 |
| 1.741 | 159 |
| 1.597 | 292 |
| 1.580 | 175 |
| 1.370 | 240 |
| 1.123 | 192 |

Cell and atoms:
```
data_BaGa2Pt2
_cell_length_a 4.4700
_cell_length_b 4.4700
_cell_length_c 11.1038
_cell_angle_alpha 90.00
_cell_angle_beta 90.00
_cell_angle_gamma 90.00
_symmetry_space_group_name_H-M 'I 4/m m m'
_symmetry_Int_Tables_number 139
_symmetry_space_group_name_Hall '-I 4 2'
loop_
_atom_site_label
_atom_site_type_symbol
_atom_site_fract_x
_atom_site_fract_y
_atom_site_fract_z
Ba1 Ba 0.0000 0.0000 0.0000
Ga1 Ga 0.0000 0.0000 0.3602
Pt1 Pt 0.0000 0.5000 0.2500
```